No. 1
For Y2VGa5, the PBE geometry in Alexandria gives the theoretical X-ray powder pattern in this record (Cu Kα (λ = 1.5418 Å)).
No peak broadening, texture or thermal motion is included.

Largest 10 diffraction maxima, by angle, 2θ = 15–90°:
two_theta  I (rel.)
30.88  11
33.53  14
36.87  100
38.48  11
39.90  43
44.18  15
48.25  13
57.70  11
64.33  23
70.47  16

Cell and atoms:
Lattice parameters (Å, degrees): 5.886 5.886 5.886 114.24 114.24 100.31
Fractional coordinates of all 8 atoms:
Y 0.000 0.500 0.500
Y 0.500 0.000 0.500
V 0.125 0.125 0.000
Ga 0.470 0.470 0.000
Ga 0.543 0.543 0.580
Ga 0.543 0.963 0.000
Ga 0.963 0.543 0.000
Ga 0.963 0.963 0.420

No. 2
For V12Zn3Ga, the PBE geometry in Alexandria gives the theoretical X-ray powder pattern in this record (Cu Kα (λ = 1.5418 Å)).
No peak broadening, texture or thermal motion is included.

Largest 10 diffraction maxima, by angle, 2θ = 15–90°:
two_theta  I (rel.)
26.42  7
37.71  47
42.36  89
46.63  100
61.46  2
68.08  3
71.27  16
74.40  45
80.50  10
80.60  5

Cell and atoms:
Lattice parameters (Å, degrees): 4.771 4.775 9.535 90.00 90.00 90.00
Fractional coordinates of all 16 atoms:
V 0.000 0.000 0.122
V 0.000 0.000 0.372
V 0.000 0.000 0.628
V 0.000 0.000 0.878
V 0.251 0.500 0.251
V 0.251 0.500 0.749
V 0.500 0.249 0.500
V 0.500 0.250 0.000
V 0.500 0.750 0.000
V 0.500 0.751 0.500
V 0.749 0.500 0.251
V 0.749 0.500 0.749
Zn 0.000 0.500 0.000
Zn 0.500 0.000 0.250
Zn 0.500 0.000 0.750
Ga 0.000 0.500 0.500

No. 3
For ZrV4Ga6, the PBE geometry in Alexandria gives the theoretical X-ray powder pattern in this record (Cu Kα (λ = 1.5418 Å)).
No peak broadening, texture or thermal motion is included.

Largest 10 diffraction maxima, by angle, 2θ = 15–90°:
two_theta  I (rel.)
31.85  66
33.40  100
38.61  38
39.05  28
42.26  37
42.47  74
43.39  26
43.79  27
56.09  30
65.81  23

Cell and atoms:
Lattice parameters (Å, degrees): 6.559 6.559 6.559 119.64 119.64 90.62
Fractional coordinates of all 11 atoms:
Zr 0.000 0.000 0.000
V 0.288 0.595 0.000
V 0.405 0.405 0.693
V 0.595 0.288 0.000
V 0.712 0.712 0.307
Ga 0.000 0.500 0.500
Ga 0.093 0.093 0.633
Ga 0.461 0.461 0.367
Ga 0.500 0.000 0.500
Ga 0.539 0.907 0.000
Ga 0.907 0.539 0.000

No. 4
For Zr2VGa2, the PBE geometry in Alexandria gives the theoretical X-ray powder pattern in this record (Cu Kα (λ = 1.5418 Å)).
No peak broadening, texture or thermal motion is included.

Largest 10 diffraction maxima, by angle, 2θ = 15–90°:
two_theta  I (rel.)
17.99  9
34.88  24
37.26  100
40.94  29
47.71  17
59.84  12
64.65  14
73.62  9
77.94  9
81.87  10

Cell and atoms:
Lattice parameters (Å, degrees): 6.972 6.972 3.812 90.00 90.00 90.00
Fractional coordinates of all 10 atoms:
Zr 0.175 0.325 0.000
Zr 0.325 0.825 0.000
Zr 0.675 0.175 0.000
Zr 0.825 0.675 0.000
V 0.000 0.000 0.500
V 0.500 0.500 0.500
Ga 0.129 0.629 0.500
Ga 0.371 0.129 0.500
Ga 0.629 0.871 0.500
Ga 0.871 0.371 0.500

No. 5
For YGaW3, the PBE geometry in Alexandria gives the theoretical X-ray powder pattern in this record (Cu Kα (λ = 1.5418 Å)).
No peak broadening, texture or thermal motion is included.

Largest 10 diffraction maxima, by angle, 2θ = 15–90°:
two_theta  I (rel.)
18.86  25
32.98  100
38.26  80
42.99  13
55.22  56
58.89  6
65.84  42
69.17  19
81.91  9
85.01  4

Cell and atoms:
Lattice parameters (Å, degrees): 4.705 4.705 4.705 90.00 90.00 90.00
Fractional coordinates of all 5 atoms:
Y 0.000 0.000 0.000
Ga 0.500 0.500 0.500
W 0.000 0.500 0.500
W 0.500 0.000 0.500
W 0.500 0.500 0.000

No. 6
For YGa4, the PBE geometry in Alexandria gives the theoretical X-ray powder pattern in this record (Cu Kα (λ = 1.5418 Å)).
No peak broadening, texture or thermal motion is included.

Largest 10 diffraction maxima, by angle, 2θ = 15–90°:
two_theta  I (rel.)
18.65  43
27.58  68
33.12  27
34.38  100
37.82  26
38.74  43
40.05  24
40.92  50
46.98  27
56.94  25

Cell and atoms:
Lattice parameters (Å, degrees): 9.862 9.862 4.758 90.00 90.00 90.00
Fractional coordinates of all 20 atoms:
Y 0.061 0.698 0.000
Y 0.302 0.061 0.000
Y 0.698 0.939 0.000
Y 0.939 0.302 0.000
Ga 0.000 0.000 0.241
Ga 0.000 0.000 0.759
Ga 0.116 0.456 0.500
Ga 0.128 0.200 0.500
Ga 0.200 0.872 0.500
Ga 0.296 0.635 0.500
Ga 0.365 0.296 0.500
Ga 0.456 0.884 0.500
Ga 0.500 0.500 0.244
Ga 0.500 0.500 0.756
Ga 0.544 0.116 0.500
Ga 0.635 0.704 0.500
Ga 0.704 0.365 0.500
Ga 0.800 0.128 0.500
Ga 0.872 0.800 0.500
Ga 0.884 0.544 0.500

No. 7
For YGa4, the PBE geometry in Alexandria gives the theoretical X-ray powder pattern in this record (Cu Kα (λ = 1.5418 Å)).
No peak broadening, texture or thermal motion is included.

Largest 10 diffraction maxima, by angle, 2θ = 15–90°:
two_theta  I (rel.)
35.41  100
38.75  94
39.15  46
39.77  46
40.26  16
49.79  14
57.04  30
69.37  14
71.51  15
72.75  34

Cell and atoms:
Lattice parameters (Å, degrees): 7.795 7.795 7.795 146.19 132.51 59.56
Fractional coordinates of all 10 atoms:
Y 0.364 0.114 0.250
Y 0.636 0.886 0.750
Ga 0.000 0.500 0.500
Ga 0.142 0.892 0.250
Ga 0.160 0.699 0.461
Ga 0.262 0.301 0.961
Ga 0.500 0.500 0.000
Ga 0.738 0.699 0.039
Ga 0.840 0.301 0.539
Ga 0.858 0.108 0.750

No. 8
For Y2Ga3, the PBE geometry in Alexandria gives the theoretical X-ray powder pattern in this record (Cu Kα (λ = 1.5418 Å)).
No peak broadening, texture or thermal motion is included.

Largest 10 diffraction maxima, by angle, 2θ = 15–90°:
two_theta  I (rel.)
32.04  100
32.47  51
35.03  21
41.35  42
43.16  28
43.40  28
44.15  14
55.23  21
61.30  25
62.87  18

Cell and atoms:
Lattice parameters (Å, degrees): 12.987 12.987 4.170 90.00 90.00 161.43
Fractional coordinates of all 10 atoms:
Y 0.072 0.928 0.750
Y 0.204 0.796 0.250
Y 0.796 0.204 0.750
Y 0.928 0.072 0.250
Ga 0.325 0.675 0.250
Ga 0.381 0.619 0.750
Ga 0.476 0.524 0.750
Ga 0.524 0.476 0.250
Ga 0.619 0.381 0.250
Ga 0.675 0.325 0.750